ZnAg3F8: computed XRD peak list (copper Kα), based on a crystal structure in Alexandria, relaxed with PBE.

Cell and atoms:
Cell lengths 7.432, 7.432, 7.143 Å; angles 106.78, 106.78, 33.20 degrees
Fractional coordinates of all 12 atoms:
Zn 0.000 0.000 0.000
Ag 0.092 0.092 0.578
Ag 0.300 0.300 0.026
Ag 0.406 0.406 0.626
F 0.076 0.076 0.277
F 0.117 0.117 0.896
F 0.267 0.267 0.723
F 0.337 0.337 0.324
F 0.480 0.480 0.949
F 0.575 0.575 0.576
F 0.864 0.864 0.037
F 0.921 0.921 0.666

Principal peaks in the range 10 to 80 degrees two-theta, sorted by position:
13.01°, I = 79
21.93°, I = 100
25.54°, I = 44
26.18°, I = 65
29.11°, I = 39
32.80°, I = 35
34.18°, I = 32
42.57°, I = 38